No. 1
Structure and computed X-ray powder pattern of CsNbCuTeS2 (a crystal structure in OQMD, relaxed with PBE; Cu Kα (weighted mean of Kα1 and Kα2)).

Crystal structure
```
data_CsNbCuTeS2
_space_group_name_H-M_alt 'C m c m'
_space_group_IT_number 63
_space_group_name_Hall '-C 2c 2'
_cell_length_a 3.7057
_cell_length_b 17.0958
_cell_length_c 10.1690
_cell_angle_alpha 90.00
_cell_angle_beta 90.00
_cell_angle_gamma 90.00
loop_
_atom_site_label
_atom_site_fract_x
_atom_site_fract_y
_atom_site_fract_z
Cs1 0.0000 0.2201 0.2500
Nb1 0.0000 0.0000 0.0000
Cu1 0.0000 0.4753 0.7500
Te1 0.0000 0.0823 0.7500
S1 0.0000 0.4054 0.5614
```

Most intense lines, 10° ≤ 2θ ≤ 80°, in order of rising 2θ:
d_spacing, two_theta, I_rel, (hkl)
8.548, 10.35, 639, 0 2 0
5.085, 17.44, 342, 0 0 2
4.370, 20.32, 182, 0 2 2
3.940, 22.57, 237, 0 4 1
2.971, 30.08, 1000, 1 3 1
2.652, 33.80, 654, 1 3 2
2.542, 35.30, 342, 0 0 4
2.290, 39.34, 244, 1 3 3
2.253, 40.02, 200, 1 5 2
2.183, 41.36, 177, 0 6 3
1.893, 48.07, 476, 1 7 2
1.701, 53.89, 256, 1 3 5

=====

No. 2
Structure and computed X-ray powder pattern of AlBiW4C2 (a crystal structure in OQMD, relaxed with PBE; Cu Kα (weighted mean of Kα1 and Kα2)).

Crystal structure
```
data_AlBiW4C2
_space_group_name_H-M_alt 'P -6 m 2'
_space_group_IT_number 187
_space_group_name_Hall 'P -6 2'
_cell_length_a 3.1389
_cell_length_b 3.1389
_cell_length_c 14.0526
_cell_angle_alpha 90.00
_cell_angle_beta 90.00
_cell_angle_gamma 120.00
loop_
_atom_site_label
_atom_site_fract_x
_atom_site_fract_y
_atom_site_fract_z
Al1 0.0000 0.0000 0.0000
Bi1 0.6667 0.3333 0.5000
W1 0.0000 0.0000 0.3108
W2 0.6667 0.3333 0.1494
C1 0.3333 0.6667 0.2335
```

Most intense lines, 10° ≤ 2θ ≤ 80°, in order of rising 2θ:
d_spacing, two_theta, I_rel, (hkl)
7.026, 12.60, 104, 0 0 2
2.811, 31.84, 116, 0 0 5
2.718, 32.95, 279, 1 0 0
2.535, 35.41, 168, 1 0 2
2.351, 38.28, 1000, 1 0 3
2.342, 38.44, 146, 0 0 6
1.954, 46.48, 77, 1 0 5
1.774, 51.50, 135, 1 0 6
1.569, 58.84, 221, 1 1 0
1.475, 63.00, 126, 1 0 8
1.370, 68.47, 81, 1 1 5
1.305, 72.45, 301, 2 0 3

=====

No. 3
Structure and computed X-ray powder pattern of BaAg2As2Pb (a crystal structure in OQMD, relaxed with PBE; Cu Kα (weighted mean of Kα1 and Kα2)).

Crystal structure
```
data_BaAg2As2Pb
_space_group_name_H-M_alt 'P 3 m 1'
_space_group_IT_number 156
_space_group_name_Hall 'P 3 -2"'
_cell_length_a 4.6053
_cell_length_b 4.6053
_cell_length_c 8.4289
_cell_angle_alpha 90.00
_cell_angle_beta 90.00
_cell_angle_gamma 120.00
loop_
_atom_site_label
_atom_site_fract_x
_atom_site_fract_y
_atom_site_fract_z
Ba1 0.0000 0.0000 0.0000
Ag1 0.3333 0.6667 0.7127
Ag2 0.6667 0.3333 0.2882
As1 0.3333 0.6667 0.2505
As2 0.6667 0.3333 0.7470
Pb1 0.0000 0.0000 0.4993
```

Most intense lines, 10° ≤ 2θ ≤ 80°, in order of rising 2θ:
d_spacing, two_theta, I_rel, (hkl)
8.429, 10.50, 109, 0 0 1
3.988, 22.29, 84, 1 0 0
2.897, 30.87, 1000, 0 1 2
2.303, 39.12, 497, 1 1 0
2.297, 39.22, 44, 1 0 3
2.107, 42.92, 96, 0 0 4
1.863, 48.88, 63, 1 0 4
1.803, 50.64, 249, 2 0 2
1.555, 59.46, 220, 1 1 4
1.419, 65.79, 227, 1 2 2
1.329, 70.89, 101, 3 0 0
1.325, 71.16, 73, 0 1 6